1.
Diffraction record for Eu2Al3Ga. The XRD peak list is calculated, not measured: it uses a structure optimized by DFT (GGA-PBE) and Cu Kα.
Neutral-atom scattering factors, no anomalous dispersion.

Crystal structure
```
data_Eu2Al3Ga
_symmetry_space_group_name_H-M 'R -3 m'
_symmetry_Int_Tables_number 166
_symmetry_space_group_name_Hall '-R 3 2"'
_cell_length_a 5.6688
_cell_length_b 5.6688
_cell_length_c 14.0955
_cell_angle_alpha 90.00
_cell_angle_beta 90.00
_cell_angle_gamma 120.00
loop_
_atom_site_label
_atom_site_type_symbol
_atom_site_fract_x
_atom_site_fract_y
_atom_site_fract_z
_atom_site_occupancy
Eu1 Eu 0.0000 0.0000 0.1251 1
Al1 Al 0.0000 0.5000 0.0000 1
Ga1 Ga 0.0000 0.0000 0.5000 1
```

Peak list (10 most intense, 2θ from 5° to 70°, in order of rising 2θ)
| index | Position (°2θ) | d [Å] | I/Imax |
| --- | --- | --- | --- |
| 0 0 3 | 18.9 | 4.699 | 37 |
| 1 0 1 | 19.1 | 4.636 | 32 |
| 1 0 4 | 31.2 | 2.863 | 53 |
| 1 1 0 | 31.6 | 2.834 | 95 |
| 0 1 5 | 36.8 | 2.445 | 51 |
| 1 1 3 | 37.0 | 2.427 | 100 |
| 0 2 1 | 37.2 | 2.418 | 25 |
| 2 1 4 | 56.0 | 1.642 | 20 |
| 1 2 5 | 59.7 | 1.550 | 24 |
| 3 0 3 | 59.8 | 1.545 | 24 |

2.
Diffraction record for EuAl2Ga2. The XRD peak list is calculated, not measured: it uses a structure optimized by DFT (GGA-PBE) and Cu Kα.
Neutral-atom scattering factors, no anomalous dispersion.

Crystal structure
```
data_EuAl2Ga2
_symmetry_space_group_name_H-M 'I 4/m m m'
_symmetry_Int_Tables_number 139
_symmetry_space_group_name_Hall '-I 4 2'
_cell_length_a 4.3298
_cell_length_b 4.3298
_cell_length_c 10.9759
_cell_angle_alpha 90.00
_cell_angle_beta 90.00
_cell_angle_gamma 90.00
loop_
_atom_site_label
_atom_site_type_symbol
_atom_site_fract_x
_atom_site_fract_y
_atom_site_fract_z
_atom_site_occupancy
Eu1 Eu 0.0000 0.0000 0.0000 1
Al1 Al 0.0000 0.5000 0.2500 1
Ga1 Ga 0.0000 0.0000 0.3857 1
```

Peak list (10 most intense, 2θ from 5° to 70°, in order of rising 2θ)
| index | Position (°2θ) | d [Å] | I/Imax |
| --- | --- | --- | --- |
| 0 0 2 | 16.2 | 5.488 | 30 |
| 1 1 0 | 29.2 | 3.062 | 70 |
| 1 0 3 | 32.0 | 2.795 | 100 |
| 1 1 2 | 33.5 | 2.674 | 83 |
| 2 0 0 | 41.7 | 2.165 | 55 |
| 1 0 5 | 46.4 | 1.958 | 53 |
| 2 1 3 | 53.5 | 1.711 | 46 |
| 2 2 0 | 60.5 | 1.531 | 18 |
| 2 1 5 | 64.1 | 1.452 | 39 |
| 3 1 0 | 68.5 | 1.369 | 12 |

3.
Diffraction record for EuAlGa. The XRD peak list is calculated, not measured: it uses a structure optimized by DFT (GGA-PBE) and Cu Kα.
Neutral-atom scattering factors, no anomalous dispersion.

Crystal structure
```
data_EuAlGa
_symmetry_space_group_name_H-M 'C 1 2/m 1'
_symmetry_Int_Tables_number 12
_cell_length_a 10.8347
_cell_length_b 4.6543
_cell_length_c 7.6011
_cell_angle_alpha 90.00
_cell_angle_beta 134.14
_cell_angle_gamma 90.00
loop_
_symmetry_equiv_pos_as_xyz
'x,y,z'
'-x,-y,-z'
'-x,y,-z'
'x,-y,z'
'x+1/2,y+1/2,z'
'-x+1/2,-y+1/2,-z'
'-x+1/2,y+1/2,-z'
'x+1/2,-y+1/2,z'
loop_
_atom_site_label
_atom_site_type_symbol
_atom_site_fract_x
_atom_site_fract_y
_atom_site_fract_z
_atom_site_occupancy
Eu1 Eu 0.0378 0.0000 0.2883 1
Al1 Al 0.1646 0.5000 0.1104 1
Ga1 Ga 0.1633 0.5000 0.7164 1
```

Peak list (10 most intense, 2θ from 5° to 70°, in order of rising 2θ)
| index | Position (°2θ) | d [Å] | I/Imax |
| --- | --- | --- | --- |
| 1 1 0 | 22.3 | 3.993 | 51 |
| 2 0 0 | 22.9 | 3.888 | 20 |
| 1 1 1 | 32.2 | 2.783 | 32 |
| 1 1 -2 | 32.5 | 2.758 | 60 |
| 3 1 -2 | 32.6 | 2.748 | 100 |
| 0 0 2 | 32.8 | 2.727 | 42 |
| 4 0 -2 | 33.1 | 2.708 | 23 |
| 0 2 0 | 38.7 | 2.327 | 44 |
| 3 1 0 | 39.8 | 2.264 | 59 |
| 0 2 2 | 51.6 | 1.770 | 23 |

4.
Diffraction record for EuAlGe. The XRD peak list is calculated, not measured: it uses a structure optimized by DFT (GGA-PBE) and Cu Kα.
Neutral-atom scattering factors, no anomalous dispersion.

Crystal structure
```
data_EuAlGe
_symmetry_space_group_name_H-M 'I 41 m d'
_symmetry_Int_Tables_number 109
_symmetry_space_group_name_Hall 'I 4bw -2'
_cell_length_a 4.3586
_cell_length_b 4.3586
_cell_length_c 14.9066
_cell_angle_alpha 90.00
_cell_angle_beta 90.00
_cell_angle_gamma 90.00
loop_
_atom_site_label
_atom_site_type_symbol
_atom_site_fract_x
_atom_site_fract_y
_atom_site_fract_z
_atom_site_occupancy
Eu1 Eu 0.0000 0.0000 0.0000 1
Al1 Al 0.0000 0.0000 0.5833 1
Ge1 Ge 0.0000 0.0000 0.4168 1
```

Peak list (10 most intense, 2θ from 5° to 70°, in order of rising 2θ)
| index | Position (°2θ) | d [Å] | I/Imax |
| --- | --- | --- | --- |
| 0 0 4 | 23.9 | 3.727 | 14 |
| 1 0 3 | 27.2 | 3.277 | 42 |
| 1 1 2 | 31.4 | 2.848 | 100 |
| 1 0 5 | 36.5 | 2.461 | 45 |
| 2 0 0 | 41.4 | 2.179 | 35 |
| 1 0 7 | 47.5 | 1.913 | 21 |
| 2 1 3 | 50.3 | 1.815 | 16 |
| 2 1 5 | 56.4 | 1.631 | 25 |
| 2 1 7 | 64.8 | 1.438 | 17 |
| 3 1 2 | 69.3 | 1.355 | 20 |

5.
Diffraction record for EuAl2Ge. The XRD peak list is calculated, not measured: it uses a structure optimized by DFT (GGA-PBE) and Cu Kα.
Neutral-atom scattering factors, no anomalous dispersion.

Crystal structure
```
data_EuAl2Ge
_symmetry_space_group_name_H-M 'P n m a'
_symmetry_Int_Tables_number 62
_cell_length_a 7.2465
_cell_length_b 4.2831
_cell_length_c 11.2430
_cell_angle_alpha 90.00
_cell_angle_beta 90.00
_cell_angle_gamma 90.00
loop_
_symmetry_equiv_pos_as_xyz
'x,y,z'
'-x,-y,-z'
'-x+1/2,-y,z+1/2'
'x+1/2,y,-z+1/2'
'x+1/2,-y+1/2,-z+1/2'
'-x+1/2,y+1/2,z+1/2'
'-x,y+1/2,-z'
'x,-y+1/2,z'
loop_
_atom_site_label
_atom_site_type_symbol
_atom_site_fract_x
_atom_site_fract_y
_atom_site_fract_z
_atom_site_occupancy
Eu1 Eu 0.1402 0.2500 0.1397 1
Al1 Al 0.0328 0.2500 0.6568 1
Al2 Al 0.1479 0.2500 0.4361 1
Ge1 Ge 0.1749 0.2500 0.8591 1
```

Peak list (10 most intense, 2θ from 5° to 70°, in order of rising 2θ)
| index | Position (°2θ) | d [Å] | I/Imax |
| --- | --- | --- | --- |
| 1 0 1 | 14.5 | 6.091 | 29 |
| 1 1 1 | 25.4 | 3.504 | 53 |
| 1 1 2 | 29.0 | 3.083 | 24 |
| 0 0 4 | 31.8 | 2.811 | 46 |
| 2 1 0 | 32.4 | 2.766 | 100 |
| 1 1 3 | 34.1 | 2.628 | 77 |
| 0 2 0 | 42.2 | 2.142 | 31 |
| 3 0 3 | 44.6 | 2.030 | 30 |
| 2 1 4 | 46.0 | 1.972 | 51 |
| 3 2 3 | 63.1 | 1.473 | 40 |

6.
Diffraction record for EuMg16Al12. The XRD peak list is calculated, not measured: it uses a structure optimized by DFT (GGA-PBE) and Cu Kα.
Neutral-atom scattering factors, no anomalous dispersion.

Crystal structure
```
data_EuMg16Al12
_symmetry_space_group_name_H-M 'I -4 3 m'
_symmetry_Int_Tables_number 217
_symmetry_space_group_name_Hall 'I -4 2 3'
_cell_length_a 10.6166
_cell_length_b 10.6166
_cell_length_c 10.6166
_cell_angle_alpha 90.00
_cell_angle_beta 90.00
_cell_angle_gamma 90.00
loop_
_atom_site_label
_atom_site_type_symbol
_atom_site_fract_x
_atom_site_fract_y
_atom_site_fract_z
_atom_site_occupancy
Eu1 Eu 0.0000 0.0000 0.0000 1
Mg1 Mg 0.0388 0.3585 0.3585 1
Mg2 Mg 0.1791 0.1791 0.8209 1
Al1 Al 0.0898 0.0898 0.2776 1
```

Peak list (10 most intense, 2θ from 5° to 70°, in order of rising 2θ)
| index | Position (°2θ) | d [Å] | I/Imax |
| --- | --- | --- | --- |
| 1 1 0 | 11.8 | 7.507 | 40 |
| 2 1 1 | 20.5 | 4.334 | 18 |
| 3 1 0 | 26.6 | 3.357 | 12 |
| 3 2 1 | 31.5 | 2.837 | 21 |
| 3 3 0 | 35.9 | 2.502 | 100 |
| 3 3 2 | 39.8 | 2.263 | 21 |
| 4 2 2 | 41.7 | 2.167 | 16 |
| 5 2 1 | 46.9 | 1.938 | 9 |
| 5 5 0 | 61.8 | 1.501 | 14 |
| 7 2 1 | 64.5 | 1.445 | 28 |

7.
Diffraction record for Eu2Mn5Al12. The XRD peak list is calculated, not measured: it uses a structure optimized by DFT (GGA-PBE) and Cu Kα.
Neutral-atom scattering factors, no anomalous dispersion.

Crystal structure
```
data_Eu2Mn5Al12
_symmetry_space_group_name_H-M 'R -3 m'
_symmetry_Int_Tables_number 166
_symmetry_space_group_name_Hall '-R 3 2"'
_cell_length_a 9.0994
_cell_length_b 9.0994
_cell_length_c 13.1083
_cell_angle_alpha 90.00
_cell_angle_beta 90.00
_cell_angle_gamma 120.00
loop_
_atom_site_label
_atom_site_type_symbol
_atom_site_fract_x
_atom_site_fract_y
_atom_site_fract_z
_atom_site_occupancy
Eu1 Eu 0.0000 0.0000 0.1571 1
Mn1 Mn 0.0000 0.0000 0.4024 1
Mn2 Mn 0.0000 0.5000 0.0000 1
Al1 Al 0.0000 0.2824 0.5000 1
Al2 Al 0.0288 0.5144 0.3502 1
```

Peak list (10 most intense, 2θ from 5° to 70°, in order of rising 2θ)
| index | Position (°2θ) | d [Å] | I/Imax |
| --- | --- | --- | --- |
| 1 1 0 | 19.5 | 4.550 | 68 |
| 1 1 3 | 28.3 | 3.151 | 94 |
| 1 0 4 | 29.5 | 3.026 | 39 |
| 3 0 0 | 34.1 | 2.627 | 56 |
| 2 2 0 | 39.6 | 2.275 | 93 |
| 3 0 3 | 40.1 | 2.251 | 100 |
| 2 1 4 | 40.9 | 2.204 | 38 |
| 0 0 6 | 41.3 | 2.184 | 54 |
| 1 4 3 | 57.6 | 1.600 | 33 |
| 3 2 4 | 58.3 | 1.584 | 36 |

8.
Diffraction record for Eu2Al4O9. The XRD peak list is calculated, not measured: it uses a structure optimized by DFT (GGA-PBE) and Cu Kα.
Neutral-atom scattering factors, no anomalous dispersion.

Crystal structure
```
data_Eu2Al4O9
_symmetry_space_group_name_H-M 'P b a m'
_symmetry_Int_Tables_number 55
_cell_length_a 7.5318
_cell_length_b 8.4392
_cell_length_c 5.7523
_cell_angle_alpha 90.00
_cell_angle_beta 90.00
_cell_angle_gamma 90.00
loop_
_symmetry_equiv_pos_as_xyz
'x,y,z'
'-x,-y,-z'
'-x,-y,z'
'x,y,-z'
'x+1/2,-y+1/2,-z'
'-x+1/2,y+1/2,z'
'-x+1/2,y+1/2,-z'
'x+1/2,-y+1/2,z'
loop_
_atom_site_label
_atom_site_type_symbol
_atom_site_fract_x
_atom_site_fract_y
_atom_site_fract_z
_atom_site_occupancy
Eu1 Eu 0.1567 0.1842 0.0000 1
Al1 Al 0.0000 0.5000 0.2566 1
Al2 Al 0.1383 0.8357 0.5000 1
O1 O 0.0000 0.0000 0.5000 1
O2 O 0.0997 0.7170 0.2485 1
O3 O 0.1487 0.4269 0.5000 1
O4 O 0.1585 0.4512 0.0000 1
```

Peak list (10 most intense, 2θ from 5° to 70°, in order of rising 2θ)
| index | Position (°2θ) | d [Å] | I/Imax |
| --- | --- | --- | --- |
| 0 0 1 | 15.4 | 5.752 | 70 |
| 0 2 0 | 21.1 | 4.220 | 20 |
| 2 1 0 | 25.9 | 3.439 | 24 |
| 0 2 1 | 26.2 | 3.402 | 30 |
| 1 2 1 | 28.8 | 3.101 | 68 |
| 2 1 1 | 30.3 | 2.952 | 100 |
| 0 0 2 | 31.1 | 2.876 | 27 |
| 2 1 2 | 40.9 | 2.206 | 43 |
| 1 4 1 | 47.5 | 1.916 | 32 |
| 3 3 2 | 58.8 | 1.570 | 31 |

9.
Diffraction record for Eu4Al2O9. The XRD peak list is calculated, not measured: it uses a structure optimized by DFT (GGA-PBE) and Cu Kα.
Neutral-atom scattering factors, no anomalous dispersion.

Crystal structure
```
data_Eu4Al2O9
_symmetry_space_group_name_H-M 'P 1 21/c 1'
_symmetry_Int_Tables_number 14
_cell_length_a 7.7230
_cell_length_b 10.8691
_cell_length_c 11.3432
_cell_angle_alpha 90.00
_cell_angle_beta 109.08
_cell_angle_gamma 90.00
loop_
_symmetry_equiv_pos_as_xyz
'x,y,z'
'-x,-y,-z'
'-x,y+1/2,-z+1/2'
'x,-y+1/2,z+1/2'
loop_
_atom_site_label
_atom_site_type_symbol
_atom_site_fract_x
_atom_site_fract_y
_atom_site_fract_z
_atom_site_occupancy
Eu1 Eu 0.0246 0.0898 0.3057 1
Eu2 Eu 0.1615 0.6255 0.5816 1
Eu3 Eu 0.3347 0.1273 0.9314 1
Eu4 Eu 0.4749 0.6017 0.2117 1
Al1 Al 0.2231 0.1864 0.6299 1
Al2 Al 0.3492 0.6849 0.8814 1
O1 O 0.0738 0.5027 0.3964 1
O2 O 0.0779 0.2328 0.4812 1
O3 O 0.2159 0.7256 0.2523 1
O4 O 0.2168 0.0308 0.6673 1
O5 O 0.2304 0.2293 0.2664 1
O6 O 0.2995 0.5317 0.8303 1
O7 O 0.3613 0.7294 0.0341 1
O8 O 0.4290 0.5071 0.6013 1
O9 O 0.4338 0.2385 0.6176 1
```

Peak list (10 most intense, 2θ from 5° to 70°, in order of rising 2θ)
| index | Position (°2θ) | d [Å] | I/Imax |
| --- | --- | --- | --- |
| 0 1 1 | 11.6 | 7.632 | 22 |
| 0 1 2 | 18.5 | 4.807 | 30 |
| 0 1 3 | 26.3 | 3.395 | 21 |
| 2 2 -1 | 28.4 | 3.148 | 100 |
| 2 1 1 | 29.5 | 3.029 | 17 |
| 0 3 2 | 29.8 | 3.003 | 30 |
| 0 2 3 | 29.9 | 2.987 | 69 |
| 2 0 2 | 34.0 | 2.639 | 20 |
| 4 0 -2 | 47.1 | 1.931 | 18 |
| 2 4 2 | 48.0 | 1.894 | 17 |